Record 1
Theoretical X-ray powder pattern
Compound: Cs2RuPbO6
Radiation: Cu Kα, 1.54184 Å
Structure: a PBE-relaxed structure

Largest 8 diffraction maxima, most intense first, 5° ≤ 2θ ≤ 70°:
2θ 27.02, rel. 100
2θ 21.74, rel. 62
2θ 15.50, rel. 61
2θ 34.44, rel. 52
2θ 52.67, rel. 38
2θ 44.31, rel. 38
2θ 34.94, rel. 35
2θ 47.74, rel. 20

```
Cs2RuPbO6
1.0
6.5995 0.0000 0.0000
-3.2998 5.7154 0.0000
0.0000 0.0000 5.8506
Cs Ru Pb O
2 1 1 6
direct
0.3333 0.6667 0.1615
0.6667 0.3333 0.8385
0.0000 0.0000 0.0000
0.0000 0.0000 0.5000
0.1336 0.2672 0.7978
0.1336 0.8664 0.7978
0.2672 0.1336 0.2022
0.7328 0.8664 0.7978
0.8664 0.1336 0.2022
0.8664 0.7328 0.2022
```

---

Record 2
Theoretical X-ray powder pattern
Compound: CePm3N4
Radiation: Cu Kα, 1.54184 Å
Structure: a PBE-relaxed structure

Largest 8 diffraction maxima, most intense first, 5° ≤ 2θ ≤ 70°:
2θ 30.44, rel. 100
2θ 35.25, rel. 50
2θ 50.80, rel. 34
2θ 60.31, rel. 30
2θ 35.37, rel. 25
2θ 63.34, rel. 17
2θ 50.71, rel. 17
2θ 60.45, rel. 15

```
CePm3N4
1.0
3.5983 -5.0760 0.0000
3.5983 5.0760 0.0000
0.0000 0.0000 3.6023
Ce Pm N
1 3 4
direct
0.0000 0.0000 0.0000
0.0000 0.5000 0.5000
0.5000 0.0000 0.5000
0.5000 0.5000 0.0000
0.2413 0.2413 0.5000
0.2437 0.7563 0.0000
0.7563 0.2437 0.0000
0.7587 0.7587 0.5000
```